Simulated powder XRD pattern of Ac19Tb6Sm4 for CuKα, from a crystal structure in Alexandria, relaxed with PBE.
Intensities are scaled so that the largest is 100.

Crystal structure
```
Ac19Tb6Sm4
1.0
-6.7887 6.7887 6.7887
6.7887 -6.7887 6.7887
6.7887 6.7887 -6.7887
Ac Tb Sm
19 6 4
Direct
0.0000 0.0000 0.0000
0.0000 0.2673 0.2673
0.0000 0.7327 0.7327
0.0015 0.2179 0.6596
0.2164 0.9985 0.6581
0.2179 0.6596 0.0015
0.2673 0.0000 0.2673
0.2673 0.2673 0.0000
0.3404 0.5583 0.3419
0.3419 0.3404 0.5583
0.4417 0.7821 0.7836
0.5583 0.3419 0.3404
0.6581 0.2164 0.9985
0.6596 0.0015 0.2179
0.7327 0.0000 0.7327
0.7327 0.7327 0.0000
0.7821 0.7836 0.4417
0.7836 0.4417 0.7821
0.9985 0.6581 0.2164
0.1157 0.5000 0.6157
0.3843 0.8843 0.5000
0.5000 0.3843 0.8843
0.5000 0.6157 0.1157
0.6157 0.1157 0.5000
0.8843 0.5000 0.3843
0.0000 0.0000 0.3530
0.0000 0.3530 0.0000
0.3530 0.0000 0.0000
0.6470 0.6470 0.6470
```

Largest 6 diffraction maxima, sorted by position, 2θ from 10° to 90°:
- 2θ 24.5, 3.629 Å, rel. 39
- 2θ 26.3, 3.394 Å, rel. 51
- 2θ 27.9, 3.200 Å, rel. 100
- 2θ 33.7, 2.663 Å, rel. 59
- 2θ 49.3, 1.848 Å, rel. 30
- 2θ 54.9, 1.671 Å, rel. 30